Starting from the GGA-PBE geometry in Alexandria, the PXRD pattern of La5NdSn4 was simulated for a wavelength of 1.5418 Å.

Principal peaks in the range 10° ≤ 2θ ≤ 90°, sorted by position:
Position (°2θ)  I/Imax
20.15  18
20.75  33
22.36  23
27.50  35
33.46  100
34.92  26
39.98  14
45.01  18
58.82  15
61.71  19

Structure:
a b c (Å): 10.276 10.717 7.743
angles (deg): 90.00 90.00 90.00
Atoms (fractional coordinates):
1 La 0.001 0.048 0.247
2 La 0.001 0.452 0.247
3 La 0.250 0.250 0.709
4 La 0.499 0.048 0.247
5 La 0.499 0.452 0.247
6 La 0.501 0.548 0.753
7 La 0.501 0.952 0.753
8 La 0.750 0.750 0.291
9 La 0.999 0.548 0.753
10 La 0.999 0.952 0.753
11 Nd 0.250 0.750 0.286
12 Nd 0.750 0.250 0.714
13 Sn 0.002 0.750 0.057
14 Sn 0.250 0.503 0.499
15 Sn 0.250 0.997 0.499
16 Sn 0.498 0.750 0.057
17 Sn 0.502 0.250 0.943
18 Sn 0.750 0.003 0.501
19 Sn 0.750 0.497 0.501
20 Sn 0.998 0.250 0.943

=====

Starting from the GGA-PBE geometry in Alexandria, the PXRD pattern of La5Nd8Sn was simulated for a wavelength of 1.5418 Å.

Principal peaks in the range 10° ≤ 2θ ≤ 90°, sorted by position:
Position (°2θ)  I/Imax
25.86  31
26.35  52
27.57  44
31.04  52
31.45  65
31.61  34
31.86  100
32.97  56
34.18  35
36.69  33

Structure:
a b c (Å): 8.801 8.801 8.801
angles (deg): 106.68 99.93 122.73
Atoms (fractional coordinates):
1 La 0.000 0.000 0.000
2 La 0.285 0.463 0.822
3 La 0.620 0.391 0.771
4 La 0.620 0.850 0.229
5 La 0.641 0.463 0.178
6 Nd 0.005 0.347 0.342
7 Nd 0.005 0.663 0.658
8 Nd 0.077 0.625 0.083
9 Nd 0.077 0.994 0.452
10 Nd 0.467 0.148 0.318
11 Nd 0.542 0.625 0.548
12 Nd 0.542 0.994 0.917
13 Nd 0.830 0.148 0.682
14 Sn 0.357 0.857 0.500